No. 1
For Ba3Tl6CdSn2, a structure optimized by DFT (PBE) gives the theoretical powder diffraction line list in this record (λ = 1.5418 Å (Cu Kα)).
Kinematic intensities with the Lorentz-polarization factor, no thermal factor.

a b c (Å): 6.6014 6.6014 11.1545
angles (deg): 90.00 90.00 120.00
Space group P-3m1 (No. 164)
Symmetry-distinct sites (fractional):
Ba 0.0000 0.0000 0.0000
Ba 0.3333 0.6667 0.5868
Tl 0.1707 0.3415 0.2725
Cd 0.0000 0.0000 0.5000
Sn 0.3333 0.6667 0.0293

Principal peaks in the range 5 to 70 degrees two-theta, in order of falling intensity:
2theta  d (Å)  Rel. int.  index
32.3  2.769  1000  0 2 1
31.5  2.841  835  1 1 2
35.3  2.544  477  2 0 2
39.8  2.266  375  0 2 3
55.7  1.650  333  2 2 0
17.4  5.088  287  1 0 1
35.8  2.506  256  0 1 4
32.1  2.789  230  0 0 4



No. 2
For Cr3P5, a structure optimized by DFT (PBE) gives the theoretical powder diffraction line list in this record (λ = 1.5418 Å (Cu Kα)).
Kinematic intensities with the Lorentz-polarization factor, no thermal factor.

a b c (Å): 8.2677 8.2677 6.0292
angles (deg): 90.00 90.00 90.00
Space group I4cm (No. 108)
Symmetry-distinct sites (fractional):
Cr 0.0000 0.0000 0.0000
Cr 0.1637 0.3363 0.0884
P 0.0000 0.5000 0.3368
P 0.0775 0.2150 0.7442

Principal peaks in the range 5 to 70 degrees two-theta, in order of falling intensity:
2theta  d (Å)  Rel. int.  index
45.9  1.975  1000  3 1 2
28.3  3.152  928  2 1 1
47.8  1.903  773  4 1 1
49.3  1.849  457  4 2 0
51.8  1.766  452  2 1 3
43.1  2.099  371  2 2 2
36.9  2.436  326  2 0 2
42.2  2.143  295  3 2 1



No. 3
For BaInBiO4, a structure optimized by DFT (PBE) gives the theoretical powder diffraction line list in this record (λ = 1.5418 Å (Cu Kα)).
Kinematic intensities with the Lorentz-polarization factor, no thermal factor.

a b c (Å): 6.8754 6.2512 7.6064
angles (deg): 90.00 115.99 90.00
Space group P2_1/m (No. 11)
Symmetry-distinct sites (fractional):
Ba 0.2246 0.2500 0.4844
In 0.2043 0.7500 0.1939
Bi 0.3235 0.2500 0.0446
O 0.0109 0.2500 0.6862
O 0.0398 0.2500 0.0929
O 0.4349 0.5045 0.2610

Principal peaks in the range 5 to 70 degrees two-theta, in order of falling intensity:
2theta  d (Å)  Rel. int.  index
27.6  3.230  1000  1 1 -2
28.6  3.126  548  0 2 0
20.2  4.395  520  1 1 0
57.0  1.615  367  2 2 -4
23.2  3.826  326  1 0 1
29.7  3.012  306  2 1 -1
42.6  2.121  288  3 1 -2
38.1  2.365  257  1 1 2



No. 4
For TlCr2BiCl8, a structure optimized by DFT (PBE) gives the theoretical powder diffraction line list in this record (λ = 1.5418 Å (Cu Kα)).
Kinematic intensities with the Lorentz-polarization factor, no thermal factor.

a b c (Å): 6.5019 6.5765 8.9251
angles (deg): 74.83 77.93 79.41
Space group P-1 (No. 2)
Symmetry-distinct sites (fractional):
Tl 0.0000 0.0000 0.0000
Cr 0.4621 0.4679 0.2110
Bi 0.0000 0.0000 0.5000
Cl 0.1767 0.7157 0.7427
Cl 0.2391 0.7781 0.2854
Cl 0.3130 0.2508 0.4507
Cl 0.3807 0.2977 0.0186

Principal peaks in the range 5 to 70 degrees two-theta, in order of falling intensity:
2theta  d (Å)  Rel. int.  index
18.5  4.789  1000  1 1 0
14.1  6.293  814  0 1 0
21.3  4.174  635  1 -1 0
22.4  3.972  497  0 1 2
30.0  2.983  432  2 1 0
23.2  3.834  368  1 0 2
28.0  3.192  339  0 1 -2
29.4  3.040  338  -1 1 2



No. 5
For HfFeH4, a structure optimized by DFT (PBE) gives the theoretical powder diffraction line list in this record (λ = 1.5418 Å (Cu Kα)).
Kinematic intensities with the Lorentz-polarization factor, no thermal factor.

a b c (Å): 4.6519 8.0207 5.3919
angles (deg): 90.00 114.21 90.00
Space group C2/c (No. 15)
Symmetry-distinct sites (fractional):
Hf 0.0000 0.1202 0.2500
Fe 0.0000 0.4552 0.2500
H 0.0056 0.3782 0.9522
H 0.1546 0.1221 0.6634

Principal peaks in the range 5 to 70 degrees two-theta, in order of falling intensity:
2theta  d (Å)  Rel. int.  index
24.1  3.698  1000  1 1 -1
28.7  3.108  693  0 2 1
36.5  2.459  504  0 0 2
40.1  2.250  455  1 3 -1
35.0  2.567  376  1 1 1
42.6  2.121  334  2 0 0
39.9  2.262  330  1 3 0
43.4  2.083  301  2 0 -2



No. 6
For Ba2Tl6SnPb, a structure optimized by DFT (PBE) gives the theoretical powder diffraction line list in this record (λ = 1.5418 Å (Cu Kα)).
Kinematic intensities with the Lorentz-polarization factor, no thermal factor.

a b c (Å): 6.3558 10.4404 11.3171
angles (deg): 90.00 90.00 90.00
Space group Pmmn (No. 59, origin choice 2)
Symmetry-distinct sites (fractional):
Ba 0.2500 0.0026 0.2213
Tl 0.0004 0.2500 0.4990
Tl 0.0025 0.7500 0.9938
Tl 0.2500 0.0002 0.5960
Sn 0.2500 0.7500 0.7627
Pb 0.2500 0.2500 0.7703

Principal peaks in the range 5 to 70 degrees two-theta, in order of falling intensity:
2theta  d (Å)  Rel. int.  index
32.5  2.755  1000  1 2 3
32.3  2.771  890  2 0 2
36.7  2.447  872  2 2 2
34.4  2.610  812  0 4 0
33.0  2.714  726  2 2 0
36.1  2.487  629  0 2 4
47.9  1.900  602  2 4 2
27.1  3.285  538  1 2 2



No. 7
For K4Tc2O, a structure optimized by DFT (PBE) gives the theoretical powder diffraction line list in this record (λ = 1.5418 Å (Cu Kα)).
Kinematic intensities with the Lorentz-polarization factor, no thermal factor.

a b c (Å): 4.6641 4.6641 23.1982
angles (deg): 90.00 90.00 90.00
Space group I4/mmm (No. 139)
Symmetry-distinct sites (fractional):
K 0.0000 0.0000 0.1258
K 0.0000 0.5000 0.0000
Tc 0.0000 0.0000 0.2611
O 0.0000 0.0000 0.0000

Principal peaks in the range 5 to 70 degrees two-theta, in order of falling intensity:
2theta  d (Å)  Rel. int.  index
28.1  3.172  1000  1 1 2
15.3  5.800  699  0 0 4
7.6  11.599  613  0 0 2
27.1  3.295  561  1 1 0
35.8  2.509  446  1 1 6
38.6  2.332  425  2 0 0
30.8  2.900  345  0 0 8
50.2  1.817  316  2 0 8